[1]
# CaLa3Sm6Er2
Computed X-ray diffraction stick pattern, Cu Kα. Input: a structure optimized by DFT (PBE).
Lines closer than 0.1° are merged.

Principal peaks in the range 2θ = 15–90°, sorted by position:
2θ = 29.91°, rel. 100; 2θ = 34.44°, rel. 17; 2θ = 34.80°, rel. 34; 2θ = 49.77°, rel. 24; 2θ = 50.04°, rel. 12; 2θ = 58.92°, rel. 14; 2θ = 59.40°, rel. 28; 2θ = 62.16°, rel. 12; 2θ = 80.88°, rel. 11; 2θ = 81.29°, rel. 6; 2θ = 83.72°, rel. 5; 2θ = 83.93°, rel. 5

Cell and atoms:
Cell: 9.676 9.676 9.676 Å, 149.10 114.86 73.83°
Fractional positions:
Ca: 0.000 0.000 0.000
La: 0.172 0.672 0.500
La: 0.500 0.000 0.500
La: 0.828 0.328 0.500
Sm: 0.085 0.831 0.254
Sm: 0.261 0.500 0.761
Sm: 0.423 0.169 0.254
Sm: 0.577 0.831 0.746
Sm: 0.739 0.500 0.239
Sm: 0.915 0.169 0.746
Er: 0.332 0.332 0.000
Er: 0.668 0.668 0.000

=====

[2]
# BaCaNdSbO6
Computed X-ray diffraction stick pattern, Cu Kα. Input: a structure optimized by DFT (PBE).
Lines closer than 0.1° are merged.

Principal peaks in the range 2θ = 15–90°, sorted by position:
2θ = 20.99°, rel. 13; 2θ = 29.66°, rel. 100; 2θ = 29.79°, rel. 62; 2θ = 29.88°, rel. 32; 2θ = 42.22°, rel. 19; 2θ = 42.63°, rel. 17; 2θ = 42.82°, rel. 17; 2θ = 52.52°, rel. 15; 2θ = 52.62°, rel. 14; 2θ = 52.82°, rel. 28; 2θ = 52.92°, rel. 22; 2θ = 61.58°, rel. 15

Cell and atoms:
Cell: 5.982 5.990 8.561 Å, 90.12 90.09 90.24°
Fractional positions:
Ba: 0.012 0.019 0.250
Ba: 0.988 0.981 0.750
Ca: 0.489 0.479 0.748
Ca: 0.511 0.521 0.252
Nd: 0.000 0.500 0.500
Nd: 0.500 0.000 0.000
Sb: 0.000 0.500 0.000
Sb: 0.500 0.000 0.500
O: 0.087 0.473 0.770
O: 0.184 0.778 0.011
O: 0.222 0.815 0.497
O: 0.280 0.322 0.059
O: 0.324 0.282 0.443
O: 0.459 0.076 0.730
O: 0.541 0.924 0.270
O: 0.676 0.718 0.557
O: 0.720 0.678 0.941
O: 0.778 0.185 0.503
O: 0.816 0.222 0.989
O: 0.913 0.527 0.230

=====

[3]
# CeNd2SmDy5
Computed X-ray diffraction stick pattern, Cu Kα. Input: a structure optimized by DFT (PBE).
Lines closer than 0.1° are merged.

Principal peaks in the range 2θ = 15–90°, sorted by position:
2θ = 28.73°, rel. 64; 2θ = 29.20°, rel. 50; 2θ = 30.82°, rel. 100; 2θ = 32.74°, rel. 19; 2θ = 36.94°, rel. 12; 2θ = 37.94°, rel. 16; 2θ = 43.52°, rel. 12; 2θ = 46.42°, rel. 13; 2θ = 46.66°, rel. 16; 2θ = 52.80°, rel. 19; 2θ = 55.79°, rel. 12; 2θ = 60.53°, rel. 16

Cell and atoms:
Cell: 9.932 9.932 9.932 Å, 128.37 128.37 76.03°
Fractional positions:
Ce: 0.250 0.750 0.500
Ce: 0.750 0.250 0.500
Nd: 0.121 0.621 0.741
Nd: 0.379 0.121 0.500
Nd: 0.621 0.879 0.500
Nd: 0.879 0.379 0.259
Sm: 0.250 0.250 0.000
Sm: 0.750 0.750 0.000
Dy: 0.000 0.000 0.000
Dy: 0.063 0.157 0.500
Dy: 0.157 0.657 0.093
Dy: 0.343 0.437 0.500
Dy: 0.437 0.937 0.093
Dy: 0.500 0.500 0.000
Dy: 0.563 0.063 0.907
Dy: 0.657 0.563 0.500
Dy: 0.843 0.343 0.907
Dy: 0.937 0.843 0.500

=====

[4]
# AgHgNF2
Computed X-ray diffraction stick pattern, Cu Kα. Input: a structure optimized by DFT (PBE).
Lines closer than 0.1° are merged.

Principal peaks in the range 2θ = 15–90°, sorted by position:
2θ = 28.42°, rel. 51; 2θ = 29.54°, rel. 100; 2θ = 35.93°, rel. 13; 2θ = 40.63°, rel. 32; 2θ = 43.86°, rel. 13; 2θ = 51.03°, rel. 45; 2θ = 53.10°, rel. 18; 2θ = 58.80°, rel. 10; 2θ = 61.32°, rel. 18; 2θ = 81.55°, rel. 12; 2θ = 83.20°, rel. 11; 2θ = 85.93°, rel. 11

Cell and atoms:
Cell: 4.441 4.441 4.128 Å, 90.00 90.00 90.00°
Fractional positions:
Ag: 0.000 0.000 0.000
Hg: 0.500 0.500 0.500
N: 0.000 0.000 0.500
F: 0.000 0.500 0.000
F: 0.500 0.000 0.000